No. 1
Structure and computed PXRD pattern of Li6WO6 (DFT lattice parameters and positions (PBE+U); Cu Kα (λ = 1.5418 Å)).
Intensities are scaled so that the largest is 100.

Cell and atoms:
```
data_Li6WO6
_cell_length_a 5.7953
_cell_length_b 5.7953
_cell_length_c 13.8256
_cell_angle_alpha 90.00
_cell_angle_beta 90.00
_cell_angle_gamma 120.00
_symmetry_space_group_name_H-M 'R -3'
_symmetry_Int_Tables_number 148
_symmetry_space_group_name_Hall '-R 3'
loop_
_atom_site_label
_atom_site_type_symbol
_atom_site_fract_x
_atom_site_fract_y
_atom_site_fract_z
Li1 Li 0.0217 0.4071 0.3949
W1 W 0.0000 0.0000 0.5000
O1 O 0.0156 0.2845 0.5817
```

Most intense lines, 2θ from 15° to 90°, by intensity:
18.8 deg, 4.718 Å, I = 100; 21.9 deg, 4.061 Å, I = 67; 36.6 deg, 2.453 Å, I = 37; 19.3 deg, 4.609 Å, I = 24; 31.4 deg, 2.847 Å, I = 22; 50.6 deg, 1.804 Å, I = 20; 36.4 deg, 2.469 Å, I = 15; 49.8 deg, 1.829 Å, I = 14; 37.1 deg, 2.422 Å, I = 14; 48.4 deg, 1.879 Å, I = 12; 30.9 deg, 2.898 Å, I = 12; 38.2 deg, 2.359 Å, I = 11

No. 2
Structure and computed PXRD pattern of Sr2MgV2Si4O14 (DFT lattice parameters and positions (PBE+U); Cu Kα (λ = 1.5418 Å)).
Intensities are scaled so that the largest is 100.

Cell and atoms:
```
data_Sr2MgV2Si4O14
_cell_length_a 7.2898
_cell_length_b 5.6067
_cell_length_c 17.0410
_cell_angle_alpha 90.00
_cell_angle_beta 90.00
_cell_angle_gamma 90.00
_symmetry_space_group_name_H-M 'A m m 2'
_symmetry_Int_Tables_number 38
loop_
_symmetry_equiv_pos_as_xyz
'x,y,z'
'-x,-y,z'
'-x,y,z'
'x,-y,z'
'x,y+1/2,z+1/2'
'-x,-y+1/2,z+1/2'
'-x,y+1/2,z+1/2'
'x,-y+1/2,z+1/2'
loop_
_atom_site_label
_atom_site_type_symbol
_atom_site_fract_x
_atom_site_fract_y
_atom_site_fract_z
Sr1 Sr 0.0000 0.0000 0.0000
Sr2 Sr 0.5000 0.0000 0.2608
Mg1 Mg 0.5000 0.0000 0.4603
V1 V 0.0000 0.0000 0.2406
V2 V 0.5000 0.0000 0.0314
Si1 Si 0.2187 0.0000 0.5533
Si2 Si 0.2728 0.0000 0.7418
O1 O 0.0000 0.0000 0.1333
O2 O 0.0000 0.0000 0.5291
O3 O 0.1999 0.2481 0.2758
O4 O 0.2564 0.0000 0.6447
O5 O 0.3090 0.2277 0.5038
O6 O 0.5000 0.0000 0.1328
O7 O 0.5000 0.0000 0.7609
```

Most intense lines, 2θ from 15° to 90°, by intensity:
20.9 deg, 4.260 Å, I = 100; 29.7 deg, 3.008 Å, I = 85; 31.9 deg, 2.803 Å, I = 25; 46.1 deg, 1.970 Å, I = 23; 39.6 deg, 2.275 Å, I = 19; 40.6 deg, 2.222 Å, I = 18; 33.1 deg, 2.704 Å, I = 13; 55.5 deg, 1.655 Å, I = 12; 38.5 deg, 2.340 Å, I = 12; 50.1 deg, 1.822 Å, I = 11; 42.4 deg, 2.130 Å, I = 11; 35.9 deg, 2.501 Å, I = 11

No. 3
Structure and computed PXRD pattern of SmCoO3 (DFT lattice parameters and positions (PBE+U); Cu Kα (λ = 1.5418 Å)).
Intensities are scaled so that the largest is 100.

Cell and atoms:
```
data_SmCoO3
_cell_length_a 3.7570
_cell_length_b 3.7570
_cell_length_c 3.7570
_cell_angle_alpha 90.00
_cell_angle_beta 90.00
_cell_angle_gamma 90.00
_symmetry_space_group_name_H-M 'P m -3 m'
_symmetry_Int_Tables_number 221
_symmetry_space_group_name_Hall '-P 4 2 3'
loop_
_atom_site_label
_atom_site_type_symbol
_atom_site_fract_x
_atom_site_fract_y
_atom_site_fract_z
Sm1 Sm 0.0000 0.0000 0.0000
Co1 Co 0.5000 0.5000 0.5000
O1 O 0.0000 0.5000 0.5000
```

Most intense lines, 2θ from 15° to 90°, by intensity:
33.7 deg, 2.657 Å, I = 100; 60.3 deg, 1.534 Å, I = 38; 48.5 deg, 1.878 Å, I = 31; 71.0 deg, 1.328 Å, I = 18; 41.6 deg, 2.169 Å, I = 18; 80.9 deg, 1.188 Å, I = 16; 23.7 deg, 3.757 Å, I = 15; 54.6 deg, 1.680 Å, I = 8; 85.8 deg, 1.133 Å, I = 6; 76.0 deg, 1.252 Å, I = 4